# 1
UGe3Ir3: simulated X-ray diffraction stick pattern (CuKα), based on the PBE geometry in Alexandria.
Kinematic intensities with the Lorentz-polarization factor, no thermal factor.

Cell and atoms:
```
14
Lattice="6.7482 0.0000 0.0000 0.0000 6.7482 0.0000 0.0000 0.0000 6.7482" Properties=species:S:1:pos:R:3 pbc="T T T"
U 0.0000 0.0000 0.0000
U 3.3741 3.3741 3.3741
Ge 0.0000 1.6871 3.3741
Ge 0.0000 5.0612 3.3741
Ge 1.6871 3.3741 0.0000
Ge 3.3741 0.0000 1.6871
Ge 3.3741 0.0000 5.0612
Ge 5.0612 3.3741 0.0000
Ir 0.0000 3.3741 1.6871
Ir 0.0000 3.3741 5.0612
Ir 1.6871 0.0000 3.3741
Ir 3.3741 1.6871 0.0000
Ir 3.3741 5.0612 0.0000
Ir 5.0612 0.0000 3.3741
```

Peak list (10 most intense, 2θ = 10–90°, by angle)
Position (°2θ)	d/Å	I (rel.)	(hkl)
26.4	3.374	42.3	2 0 0
29.6	3.018	26.8	2 1 0
32.5	2.755	100.0	2 1 1
46.6	1.948	16.2	2 2 2
50.6	1.804	58.7	3 2 1
54.4	1.687	25.4	4 0 0
61.4	1.509	16.6	4 2 0
77.5	1.232	17.4	5 2 1
80.5	1.193	16.6	4 4 0
89.5	1.095	19.1	6 1 1

***

# 2
AcB4Mo: simulated X-ray diffraction stick pattern (CuKα), based on the PBE geometry in Alexandria.
Kinematic intensities with the Lorentz-polarization factor, no thermal factor.

Cell and atoms:
```
24
Lattice="6.2948 0.0000 0.0000 0.0000 12.2451 0.0000 0.0000 0.0000 3.8419" Properties=species:S:1:pos:R:3 pbc="T T T"
Ac 0.7661 1.8667 0.0000
Ac 2.3813 7.9892 0.0000
Ac 3.9135 4.2559 0.0000
Ac 5.5287 10.3784 0.0000
B 0.1291 8.3669 1.9209
B 0.6903 6.6639 1.9209
B 0.9190 11.8459 1.9209
B 1.4539 10.0803 1.9209
B 1.6934 3.9577 1.9209
B 2.2284 5.7234 1.9209
B 2.4571 0.5414 1.9209
B 3.0183 2.2443 1.9209
B 3.2765 10.0008 1.9209
B 3.8377 11.7037 1.9209
B 4.0664 6.5217 1.9209
B 4.6013 8.2873 1.9209
B 4.8408 2.1648 1.9209
B 5.3758 0.3992 1.9209
B 5.6044 5.5812 1.9209
B 6.1657 3.8782 1.9209
Mo 0.7754 5.1471 0.0000
Mo 2.3720 11.2696 0.0000
Mo 3.9227 0.9755 0.0000
Mo 5.5194 7.0980 0.0000
```

Peak list (10 most intense, 2θ = 10–90°, by angle)
Position (°2θ)	d/Å	I (rel.)	(hkl)
23.2	3.842	100.0	0 0 1
26.0	3.425	43.2	1 3 0
29.2	3.061	30.0	0 4 0
29.3	3.048	68.2	2 1 0
35.1	2.556	48.1	1 3 1
37.6	2.394	34.7	0 4 1
37.7	2.388	80.4	2 1 1
40.3	2.238	33.2	1 4 1
43.3	2.091	26.6	2 3 1
56.6	1.626	32.0	2 1 2